Simulated X-ray diffraction stick pattern
Compound: KNa2Tl2In2
Radiation: a wavelength of 1.5418 Å
Structure: a crystal structure in Alexandria, relaxed with GGA-PBE

Top 10 peaks for 2θ from 10° to 90°, in order of falling intensity:
2θ/deg	Rel. int.	h k l
31.02	100	1 1 2
31.48	89	3 1 -1
21.84	86	1 1 -1
16.58	43	2 0 0
35.07	42	0 2 0
37.03	36	4 0 1
51.92	27	4 2 1
39.01	25	1 1 -3
21.44	25	2 0 1
60.67	21	3 3 -1

Structure:
```
14
Lattice="10.793 0.000 0.000 0.000 5.118 0.000 -1.054 0.000 7.735" Properties=species:S:1:pos:R:3 pbc="T T T"
K 0.000 0.000 0.000
K 5.396 2.559 0.000
Na 0.276 2.559 5.487
Na 4.067 0.000 2.248
Na 5.672 0.000 5.487
Na 9.463 2.559 2.248
Tl 1.941 2.559 1.478
Tl 2.402 0.000 6.257
Tl 7.337 0.000 1.478
Tl 7.798 2.559 6.257
In 1.014 0.000 3.451
In 3.329 2.559 4.284
In 6.410 2.559 3.451
In 8.725 0.000 4.284
```